Structure and calculated powder X-ray diffraction pattern of Nd4GaRh4 (a DFT-relaxed cell (GGA-PBE, Alexandria); Cu Kα).

Crystal structure
```
data_Nd4GaRh4
_space_group_name_H-M_alt 'P 42/n'
_space_group_IT_number 86
_cell_length_a 8.6233
_cell_length_b 8.6233
_cell_length_c 5.6752
_cell_angle_alpha 90.00
_cell_angle_beta 90.00
_cell_angle_gamma 90.00
loop_
_space_group_symop_operation_xyz
'x,y,z'
'-x,-y,-z'
'-y,x+1/2,z+1/2'
'y,-x+1/2,-z+1/2'
'-x+1/2,-y+1/2,z'
'x+1/2,y+1/2,-z'
'y+1/2,-x,z+1/2'
'-y+1/2,x,-z+1/2'
loop_
_atom_site_label
_atom_site_fract_x
_atom_site_fract_y
_atom_site_fract_z
Nd1 0.0403 0.6854 0.1117
Ga1 0.2500 0.2500 0.2500
Rh1 0.0058 0.3586 0.3919
```

Most intense lines, 2θ = 10–90°, sorted by position:
two_theta, intensity
32.84, 100
33.24, 47
39.42, 61
47.13, 20
49.88, 34
54.50, 27

***

Structure and calculated powder X-ray diffraction pattern of Y3InRu (a DFT-relaxed cell (GGA-PBE, Alexandria); Cu Kα).

Crystal structure
```
data_Y3InRu
_space_group_name_H-M_alt 'F m m m'
_space_group_IT_number 69
_space_group_name_Hall '-F 2 2'
_cell_length_a 6.5966
_cell_length_b 9.6445
_cell_length_c 16.2446
_cell_angle_alpha 90.00
_cell_angle_beta 90.00
_cell_angle_gamma 90.00
loop_
_atom_site_label
_atom_site_fract_x
_atom_site_fract_y
_atom_site_fract_z
Y1 0.0000 0.0000 0.1996
Y2 0.0000 0.1900 0.3886
In1 0.2090 0.0000 0.0000
Ru1 0.2500 0.2500 0.2500
```

Most intense lines, 2θ = 10–90°, sorted by position:
two_theta, intensity
21.43, 29
31.44, 49
32.08, 46
34.75, 100
35.05, 66
38.12, 42

***

Please write out number 2 again, unchanged.
Structure and calculated powder X-ray diffraction pattern of Y3InRu (a DFT-relaxed cell (GGA-PBE, Alexandria); Cu Kα).

Crystal structure
```
data_Y3InRu
_space_group_name_H-M_alt 'F m m m'
_space_group_IT_number 69
_space_group_name_Hall '-F 2 2'
_cell_length_a 6.5966
_cell_length_b 9.6445
_cell_length_c 16.2446
_cell_angle_alpha 90.00
_cell_angle_beta 90.00
_cell_angle_gamma 90.00
loop_
_atom_site_label
_atom_site_fract_x
_atom_site_fract_y
_atom_site_fract_z
Y1 0.0000 0.0000 0.1996
Y2 0.0000 0.1900 0.3886
In1 0.2090 0.0000 0.0000
Ru1 0.2500 0.2500 0.2500
```

Most intense lines, 2θ = 10–90°, sorted by position:
two_theta, intensity
21.43, 29
31.44, 49
32.08, 46
34.75, 100
35.05, 66
38.12, 42

***

Copy entry 1 word for word.
Structure and calculated powder X-ray diffraction pattern of Nd4GaRh4 (a DFT-relaxed cell (GGA-PBE, Alexandria); Cu Kα).

Crystal structure
```
data_Nd4GaRh4
_space_group_name_H-M_alt 'P 42/n'
_space_group_IT_number 86
_cell_length_a 8.6233
_cell_length_b 8.6233
_cell_length_c 5.6752
_cell_angle_alpha 90.00
_cell_angle_beta 90.00
_cell_angle_gamma 90.00
loop_
_space_group_symop_operation_xyz
'x,y,z'
'-x,-y,-z'
'-y,x+1/2,z+1/2'
'y,-x+1/2,-z+1/2'
'-x+1/2,-y+1/2,z'
'x+1/2,y+1/2,-z'
'y+1/2,-x,z+1/2'
'-y+1/2,x,-z+1/2'
loop_
_atom_site_label
_atom_site_fract_x
_atom_site_fract_y
_atom_site_fract_z
Nd1 0.0403 0.6854 0.1117
Ga1 0.2500 0.2500 0.2500
Rh1 0.0058 0.3586 0.3919
```

Most intense lines, 2θ = 10–90°, sorted by position:
two_theta, intensity
32.84, 100
33.24, 47
39.42, 61
47.13, 20
49.88, 34
54.50, 27

***

Which formula does entry 2 have? Y3InRu